Diffraction record for Mn4Cu3HgO12. The powder diffractogram is computed, not measured: it uses a DFT-relaxed cell (PBE+U, Alexandria) and Cu Kα X-rays.
Neutral-atom scattering factors, no anomalous dispersion.

Cell and atoms:
Cell lengths 6.435, 6.435, 6.435 Å; angles 109.47, 109.47, 109.47 degrees
Atoms (fractional coordinates):
Mn1 0.000 0.000 0.500
Mn2 0.000 0.500 0.000
Mn3 0.500 0.000 0.000
Mn4 0.500 0.500 0.500
Cu1 0.000 0.500 0.500
Cu2 0.500 0.000 0.500
Cu3 0.500 0.500 0.000
Hg1 0.000 0.000 0.000
O1 0.142 0.827 0.315
O2 0.173 0.315 0.488
O3 0.173 0.685 0.858
O4 0.315 0.142 0.827
O5 0.315 0.488 0.173
O6 0.488 0.173 0.315
O7 0.512 0.827 0.685
O8 0.685 0.512 0.827
O9 0.685 0.858 0.173
O10 0.827 0.315 0.142
O11 0.827 0.685 0.512
O12 0.858 0.173 0.685

Top 10 peaks for 10° ≤ 2θ ≤ 90°, low angle first:
| d/Å | I/Imax |
| --- | --- |
| 5.254 | 23.5 |
| 3.715 | 9.4 |
| 3.034 | 10.8 |
| 2.627 | 100.0 |
| 2.350 | 14.7 |
| 1.986 | 15.3 |
| 1.858 | 23.4 |
| 1.517 | 46.7 |
| 1.314 | 11.8 |
| 1.175 | 16.6 |